[1]
# UAs2Pd2Pt
Calculated powder diffraction line list, Cu Kα, 1.54184 Å. Input: the PBE geometry in Alexandria.

Structural model:
```
data_UAs2Pd2Pt
_symmetry_space_group_name_H-M 'P m c 21'
_symmetry_Int_Tables_number 26
_cell_length_a 3.8749
_cell_length_b 8.3778
_cell_length_c 6.6643
_cell_angle_alpha 90.00
_cell_angle_beta 90.00
_cell_angle_gamma 90.00
loop_
_symmetry_equiv_pos_as_xyz
'x,y,z'
'-x,-y,z+1/2'
'-x,y,z'
'x,-y,z+1/2'
loop_
_atom_site_label
_atom_site_type_symbol
_atom_site_fract_x
_atom_site_fract_y
_atom_site_fract_z
U1 U 0.0000 0.0789 0.0000
As1 As 0.0000 0.3926 0.8251
As2 As 0.5000 0.1641 0.2965
Pd1 Pd 0.0000 0.3286 0.4478
Pd2 Pd 0.5000 0.4350 0.1074
Pt1 Pt 0.5000 0.1578 0.6987
```

Most intense lines, 2θ from 10° to 90°, in order of rising 2θ:
| 2theta | intensity |
| --- | --- |
| 34.28 | 100 |
| 35.53 | 78 |
| 37.17 | 58 |
| 39.79 | 40 |
| 46.26 | 38 |
| 46.89 | 36 |

***

[2]
# Ni2Rh
Calculated powder diffraction line list, Cu Kα, 1.54184 Å. Input: the PBE geometry in Alexandria.

Structural model:
```
data_Ni2Rh
_symmetry_space_group_name_H-M 'P -3 m 1'
_symmetry_Int_Tables_number 164
_symmetry_space_group_name_Hall '-P 3 2"'
_cell_length_a 2.6176
_cell_length_b 2.6176
_cell_length_c 12.4584
_cell_angle_alpha 90.00
_cell_angle_beta 90.00
_cell_angle_gamma 120.00
loop_
_atom_site_label
_atom_site_type_symbol
_atom_site_fract_x
_atom_site_fract_y
_atom_site_fract_z
Ni1 Ni 0.0000 0.0000 0.0000
Ni2 Ni 0.0000 0.0000 0.5000
Ni3 Ni 0.3333 0.6667 0.1585
Rh1 Rh 0.3333 0.6667 0.6710
```

Most intense lines, 2θ from 10° to 90°, in order of rising 2θ:
| 2theta | intensity |
| --- | --- |
| 42.43 | 100 |
| 43.59 | 30 |
| 49.75 | 61 |
| 72.18 | 19 |
| 73.82 | 17 |
| 88.26 | 21 |

***

[3]
# Li2YZn2Hg2
Calculated powder diffraction line list, Cu Kα, 1.54184 Å. Input: the PBE geometry in Alexandria.

Structural model:
```
data_Li2YZn2Hg2
_symmetry_space_group_name_H-M 'C 1 2/m 1'
_symmetry_Int_Tables_number 12
_cell_length_a 8.3398
_cell_length_b 4.4937
_cell_length_c 7.5458
_cell_angle_alpha 90.00
_cell_angle_beta 105.49
_cell_angle_gamma 90.00
loop_
_symmetry_equiv_pos_as_xyz
'x,y,z'
'-x,-y,-z'
'-x,y,-z'
'x,-y,z'
'x+1/2,y+1/2,z'
'-x+1/2,-y+1/2,-z'
'-x+1/2,y+1/2,-z'
'x+1/2,-y+1/2,z'
loop_
_atom_site_label
_atom_site_type_symbol
_atom_site_fract_x
_atom_site_fract_y
_atom_site_fract_z
Li1 Li 0.1334 0.0000 0.4273
Y1 Y 0.0000 0.0000 0.0000
Zn1 Zn 0.0721 0.5000 0.7049
Hg1 Hg 0.2312 0.5000 0.2137
```

Most intense lines, 2θ from 10° to 90°, in order of rising 2θ:
| 2theta | intensity |
| --- | --- |
| 24.48 | 50 |
| 27.20 | 100 |
| 28.37 | 50 |
| 35.80 | 56 |
| 38.22 | 90 |
| 40.13 | 40 |

***

[4]
# KAg2Ir
Calculated powder diffraction line list, Cu Kα, 1.54184 Å. Input: the PBE geometry in Alexandria.

Structural model:
```
data_KAg2Ir
_symmetry_space_group_name_H-M 'P 1 2/m 1'
_symmetry_Int_Tables_number 10
_cell_length_a 2.7581
_cell_length_b 4.2852
_cell_length_c 7.3084
_cell_angle_alpha 90.00
_cell_angle_beta 90.12
_cell_angle_gamma 90.00
loop_
_symmetry_equiv_pos_as_xyz
'x,y,z'
'-x,-y,-z'
'-x,y,-z'
'x,-y,z'
loop_
_atom_site_label
_atom_site_type_symbol
_atom_site_fract_x
_atom_site_fract_y
_atom_site_fract_z
K1 K 0.0000 0.0000 0.0000
Ag1 Ag 0.4992 0.5000 0.3138
Ir1 Ir 0.0000 0.0000 0.5000
```

Most intense lines, 2θ from 10° to 90°, in order of rising 2θ:
| 2theta | intensity |
| --- | --- |
| 12.11 | 100 |
| 32.19 | 56 |
| 38.83 | 46 |
| 40.82 | 22 |
| 41.00 | 28 |
| 42.69 | 22 |

***

[5]
# TbPmNd2Dy4
Calculated powder diffraction line list, Cu Kα, 1.54184 Å. Input: the PBE geometry in Alexandria.

Structural model:
```
data_TbPmNd2Dy4
_symmetry_space_group_name_H-M 'C 1 2/c 1'
_symmetry_Int_Tables_number 15
_cell_length_a 13.7002
_cell_length_b 13.3104
_cell_length_c 6.8415
_cell_angle_alpha 90.00
_cell_angle_beta 119.96
_cell_angle_gamma 90.00
loop_
_symmetry_equiv_pos_as_xyz
'x,y,z'
'-x,-y,-z'
'-x,y,-z+1/2'
'x,-y,z+1/2'
'x+1/2,y+1/2,z'
'-x+1/2,-y+1/2,-z'
'-x+1/2,y+1/2,-z+1/2'
'x+1/2,-y+1/2,z+1/2'
loop_
_atom_site_label
_atom_site_type_symbol
_atom_site_fract_x
_atom_site_fract_y
_atom_site_fract_z
Tb1 Tb 0.0000 0.0000 0.0000
Pm1 Pm 0.2500 0.2500 0.0000
Nd1 Nd 0.0000 0.5000 0.0000
Nd2 Nd 0.2500 0.2500 0.5000
Dy1 Dy 0.0003 0.2469 0.0000
Dy2 Dy 0.2471 0.9998 0.4955
```

Most intense lines, 2θ from 10° to 90°, in order of rising 2θ:
| 2theta | intensity |
| --- | --- |
| 26.79 | 45 |
| 30.14 | 100 |
| 40.76 | 59 |
| 40.77 | 29 |
| 60.85 | 27 |
| 64.19 | 23 |

***

[6]
# NaPmZn10
Calculated powder diffraction line list, Cu Kα, 1.54184 Å. Input: the PBE geometry in Alexandria.

Structural model:
```
data_NaPmZn10
_symmetry_space_group_name_H-M 'P m m m'
_symmetry_Int_Tables_number 47
_cell_length_a 4.3024
_cell_length_b 5.2574
_cell_length_c 9.3573
_cell_angle_alpha 90.00
_cell_angle_beta 90.00
_cell_angle_gamma 90.00
loop_
_symmetry_equiv_pos_as_xyz
'x,y,z'
'-x,-y,-z'
'-x,-y,z'
'x,y,-z'
'x,-y,-z'
'-x,y,z'
'-x,y,-z'
'x,-y,z'
loop_
_atom_site_label
_atom_site_type_symbol
_atom_site_fract_x
_atom_site_fract_y
_atom_site_fract_z
Na1 Na 0.0000 0.0000 0.0000
Pm1 Pm 0.0000 0.5000 0.5000
Zn1 Zn 0.0000 0.0000 0.3179
Zn2 Zn 0.0000 0.5000 0.1588
Zn3 Zn 0.5000 0.0000 0.5000
Zn4 Zn 0.5000 0.2576 0.2603
Zn5 Zn 0.5000 0.5000 0.0000
```

Most intense lines, 2θ from 10° to 90°, in order of rising 2θ:
| 2theta | intensity |
| --- | --- |
| 28.45 | 21 |
| 39.31 | 28 |
| 39.59 | 100 |
| 40.20 | 48 |
| 42.00 | 47 |
| 44.81 | 32 |

***

[7]
# Ac4TeSe2S
Calculated powder diffraction line list, Cu Kα, 1.54184 Å. Input: the PBE geometry in Alexandria.

Structural model:
```
data_Ac4TeSe2S
_symmetry_space_group_name_H-M 'P 1 2/m 1'
_symmetry_Int_Tables_number 10
_cell_length_a 7.7824
_cell_length_b 4.4714
_cell_length_c 7.8607
_cell_angle_alpha 90.00
_cell_angle_beta 109.18
_cell_angle_gamma 90.00
loop_
_symmetry_equiv_pos_as_xyz
'x,y,z'
'-x,-y,-z'
'-x,y,-z'
'x,-y,z'
loop_
_atom_site_label
_atom_site_type_symbol
_atom_site_fract_x
_atom_site_fract_y
_atom_site_fract_z
Ac1 Ac 0.2413 0.0000 0.2266
Ac2 Ac 0.2556 0.5000 0.7708
Te1 Te 0.5000 0.5000 0.5000
Se1 Se 0.0000 0.0000 0.5000
Se2 Se 0.0000 0.5000 0.0000
S1 S 0.5000 0.0000 0.0000
```

Most intense lines, 2θ from 10° to 90°, in order of rising 2θ:
| 2theta | intensity |
| --- | --- |
| 24.28 | 31 |
| 28.02 | 100 |
| 39.85 | 36 |
| 40.19 | 26 |
| 40.34 | 13 |
| 49.82 | 14 |

***

[8]
# AcMg5Pt3
Calculated powder diffraction line list, Cu Kα, 1.54184 Å. Input: the PBE geometry in Alexandria.

Structural model:
```
data_AcMg5Pt3
_symmetry_space_group_name_H-M 'C m c m'
_symmetry_Int_Tables_number 63
_symmetry_space_group_name_Hall '-C 2c 2'
_cell_length_a 4.1858
_cell_length_b 14.2880
_cell_length_c 12.9132
_cell_angle_alpha 90.00
_cell_angle_beta 90.00
_cell_angle_gamma 90.00
loop_
_atom_site_label
_atom_site_type_symbol
_atom_site_fract_x
_atom_site_fract_y
_atom_site_fract_z
Ac1 Ac 0.0000 0.1640 0.2500
Mg1 Mg 0.0000 0.0000 0.0000
Mg2 Mg 0.0000 0.1988 0.5554
Mg3 Mg 0.0000 0.4374 0.1427
Pt1 Pt 0.0000 0.1332 0.7500
Pt2 Pt 0.0000 0.3851 0.5600
```

Most intense lines, 2θ from 10° to 90°, in order of rising 2θ:
| 2theta | intensity |
| --- | --- |
| 24.14 | 31 |
| 24.93 | 67 |
| 26.13 | 93 |
| 30.43 | 42 |
| 31.65 | 100 |
| 43.23 | 33 |

***

[9]
# LiCeBi3
Calculated powder diffraction line list, Cu Kα, 1.54184 Å. Input: the PBE geometry in Alexandria.

Structural model:
```
data_LiCeBi3
_symmetry_space_group_name_H-M 'P b c m'
_symmetry_Int_Tables_number 57
_cell_length_a 13.8665
_cell_length_b 6.3573
_cell_length_c 6.5451
_cell_angle_alpha 90.00
_cell_angle_beta 90.00
_cell_angle_gamma 90.00
loop_
_symmetry_equiv_pos_as_xyz
'x,y,z'
'-x,-y,-z'
'-x,-y,z+1/2'
'x,y,-z+1/2'
'x,-y+1/2,-z'
'-x,y+1/2,z'
'-x,y+1/2,-z+1/2'
'x,-y+1/2,z+1/2'
loop_
_atom_site_label
_atom_site_type_symbol
_atom_site_fract_x
_atom_site_fract_y
_atom_site_fract_z
Li1 Li 0.1093 0.2500 0.0000
Ce1 Ce 0.3149 0.5112 0.2500
Bi1 Bi 0.0771 0.7012 0.2500
Bi2 Bi 0.2575 0.0066 0.2500
Bi3 Bi 0.4973 0.2500 0.0000
```

Most intense lines, 2θ from 10° to 90°, in order of rising 2θ:
| 2theta | intensity |
| --- | --- |
| 28.01 | 36 |
| 30.20 | 45 |
| 30.95 | 100 |
| 32.28 | 36 |
| 40.08 | 48 |
| 47.74 | 36 |

***

[10]
# LiNpAu
Calculated powder diffraction line list, Cu Kα, 1.54184 Å. Input: the PBE geometry in Alexandria.

Structural model:
```
data_LiNpAu
_symmetry_space_group_name_H-M 'P 1 21/m 1'
_symmetry_Int_Tables_number 11
_cell_length_a 3.1652
_cell_length_b 3.5229
_cell_length_c 9.6150
_cell_angle_alpha 90.00
_cell_angle_beta 94.00
_cell_angle_gamma 90.00
loop_
_symmetry_equiv_pos_as_xyz
'x,y,z'
'-x,-y,-z'
'-x,y+1/2,-z'
'x,-y+1/2,z'
loop_
_atom_site_label
_atom_site_type_symbol
_atom_site_fract_x
_atom_site_fract_y
_atom_site_fract_z
Li1 Li 0.2408 0.2500 0.4218
Np1 Np 0.1568 0.2500 0.0702
Au1 Au 0.2912 0.2500 0.7170
```

Most intense lines, 2θ from 10° to 90°, in order of rising 2θ:
| 2theta | intensity |
| --- | --- |
| 31.51 | 69 |
| 32.86 | 59 |
| 38.01 | 100 |
| 38.28 | 98 |
| 38.66 | 38 |
| 66.57 | 33 |

***

[11]
# Ba13Tl2
Calculated powder diffraction line list, Cu Kα, 1.54184 Å. Input: the PBE geometry in Alexandria.

Structural model:
```
data_Ba13Tl2
_symmetry_space_group_name_H-M 'P -1'
_symmetry_Int_Tables_number 2
_cell_length_a 8.2779
_cell_length_b 10.2134
_cell_length_c 11.4116
_cell_angle_alpha 115.66
_cell_angle_beta 90.34
_cell_angle_gamma 100.22
loop_
_symmetry_equiv_pos_as_xyz
'x,y,z'
'-x,-y,-z'
loop_
_atom_site_label
_atom_site_type_symbol
_atom_site_fract_x
_atom_site_fract_y
_atom_site_fract_z
Ba1 Ba 0.0000 0.0000 0.0000
Ba2 Ba 0.0160 0.4281 0.6345
Ba3 Ba 0.1641 0.9948 0.6518
Ba4 Ba 0.2341 0.4117 0.9995
Ba5 Ba 0.3046 0.9065 0.2521
Ba6 Ba 0.4277 0.7722 0.8500
Ba7 Ba 0.4986 0.6548 0.4244
Tl1 Tl 0.1905 0.2722 0.3224
```

Most intense lines, 2θ from 10° to 90°, in order of rising 2θ:
| 2theta | intensity |
| --- | --- |
| 24.39 | 100 |
| 25.69 | 68 |
| 26.11 | 58 |
| 26.97 | 61 |
| 27.36 | 93 |
| 29.31 | 81 |

***

[12]
# Cu3Ru2
Calculated powder diffraction line list, Cu Kα, 1.54184 Å. Input: the PBE geometry in Alexandria.

Structural model:
```
data_Cu3Ru2
_symmetry_space_group_name_H-M 'R -3 m'
_symmetry_Int_Tables_number 166
_symmetry_space_group_name_Hall '-R 3 2"'
_cell_length_a 2.6425
_cell_length_b 2.6425
_cell_length_c 32.2545
_cell_angle_alpha 90.00
_cell_angle_beta 90.00
_cell_angle_gamma 120.00
loop_
_atom_site_label
_atom_site_type_symbol
_atom_site_fract_x
_atom_site_fract_y
_atom_site_fract_z
Cu1 Cu 0.0000 0.0000 0.0000
Cu2 Cu 0.0000 0.0000 0.1985
Ru1 Ru 0.0000 0.0000 0.4010
```

Most intense lines, 2θ from 10° to 90°, in order of rising 2θ:
| 2theta | intensity |
| --- | --- |
| 41.89 | 100 |
| 42.02 | 33 |
| 48.79 | 63 |
| 71.39 | 19 |
| 71.58 | 18 |
| 86.41 | 34 |

***

[13]
# Rb2TmInF6
Calculated powder diffraction line list, Cu Kα, 1.54184 Å. Input: the PBE geometry in Alexandria.

Structural model:
```
data_Rb2TmInF6
_symmetry_space_group_name_H-M 'P 1 21/c 1'
_symmetry_Int_Tables_number 14
_cell_length_a 6.5936
_cell_length_b 6.7833
_cell_length_c 11.4592
_cell_angle_alpha 90.00
_cell_angle_beta 124.98
_cell_angle_gamma 90.00
loop_
_symmetry_equiv_pos_as_xyz
'x,y,z'
'-x,-y,-z'
'-x,y+1/2,-z+1/2'
'x,-y+1/2,z+1/2'
loop_
_atom_site_label
_atom_site_type_symbol
_atom_site_fract_x
_atom_site_fract_y
_atom_site_fract_z
Rb1 Rb 0.2356 0.0416 0.2474
Tm1 Tm 0.5000 0.0000 0.0000
In1 In 0.0000 0.0000 0.5000
F1 F 0.1969 0.1798 0.9604
F2 F 0.2667 0.7432 0.9397
F3 F 0.3751 0.0454 0.7821
```

Most intense lines, 2θ from 10° to 90°, in order of rising 2θ:
| 2theta | intensity |
| --- | --- |
| 26.28 | 24 |
| 26.76 | 100 |
| 27.05 | 23 |
| 38.07 | 27 |
| 46.67 | 19 |
| 47.64 | 18 |